This entry pairs a crystal structure of Ca2Mg5Si8O22F2 with its calculated X-ray diffraction stick pattern. Radiation: Cu Ka. Structure: a DFT-relaxed cell (GGA-PBE, the Materials Project).
Kinematic intensities with the Lorentz-polarization factor, no thermal factor.

Crystal structure
abc: 10.3730 10.3730 5.3280
angles: 96.87 96.87 122.77
Fractional positions:
Ca: 0.2224 0.7776 0.0000
Ca: 0.7776 0.2224 0.0000
Mg: 0.3233 0.6767 0.5000
Mg: 0.4115 0.5885 0.0000
Mg: 0.5000 0.5000 0.5000
Mg: 0.5885 0.4115 0.0000
Mg: 0.6767 0.3233 0.5000
Si: 0.0405 0.3819 0.6967
Si: 0.1350 0.3021 0.2043
Si: 0.3021 0.1350 0.2043
Si: 0.3819 0.0405 0.6967
Si: 0.6181 0.9595 0.3033
Si: 0.6979 0.8650 0.7957
Si: 0.8650 0.6979 0.7957
Si: 0.9595 0.6181 0.3033
O: 0.0189 0.2879 0.4013
O: 0.0360 0.2749 0.9144
O: 0.1136 0.6177 0.2923
O: 0.1600 0.1600 0.2074
O: 0.2113 0.5513 0.7759
O: 0.2749 0.0360 0.9144
O: 0.2879 0.0189 0.4013
O: 0.3029 0.4727 0.2824
O: 0.3823 0.8864 0.7077
O: 0.4487 0.7887 0.2241
O: 0.4727 0.3029 0.2824
O: 0.5273 0.6971 0.7176
O: 0.5513 0.2113 0.7759
O: 0.6177 0.1136 0.2923
O: 0.6971 0.5273 0.7176
O: 0.7121 0.9811 0.5987
O: 0.7251 0.9640 0.0856
O: 0.7887 0.4487 0.2241
O: 0.8400 0.8400 0.7926
O: 0.8864 0.3823 0.7077
O: 0.9640 0.7251 0.0856
O: 0.9811 0.7121 0.5987
F: 0.3988 0.3988 0.7883
F: 0.6012 0.6012 0.2117

Most intense lines, 2θ = 15–90°, by intensity:
- 2.734 Å, 2θ = 32.8°, I 100
- 3.158 Å, 2θ = 28.3°, I 70
- 2.555 Å, 2θ = 35.1°, I 58
- 3.418 Å, 2θ = 26.1°, I 57
- 2.974 Å, 2θ = 30.0°, I 48
- 3.307 Å, 2θ = 27.0°, I 42
- 1.452 Å, 2θ = 64.2°, I 35
- 2.357 Å, 2θ = 38.2°, I 33